Entry 1:
Diffraction record for Li2Sc2Ru. The XRD peak list is theoretical, not measured: it uses a crystal structure in Alexandria, relaxed with PBE and CuKα.

Principal peaks in the range 2θ from 10° to 90°, by angle:
hkl 0 0 1, 2θ 17.89, intensity 44; hkl 1 0 1, 2θ 27.53, intensity 76; hkl 1 1 0, 2θ 29.50, intensity 100; hkl 1 1 1, 2θ 34.72, intensity 49; hkl 0 0 2, 2θ 36.24, intensity 35; hkl 2 0 0, 2θ 42.21, intensity 45; hkl 1 1 2, 2θ 47.40, intensity 51; hkl 2 1 1, 2θ 51.14, intensity 27; hkl 2 0 2, 2θ 56.82, intensity 35; hkl 3 1 2, 2θ 80.90, intensity 19

```
Li2Sc2Ru
1.0
4.282 0.000 0.000
0.000 4.282 0.000
0.000 0.000 4.958
Li Sc Ru
2 2 1
Direct
0.000 0.500 0.000
0.500 0.000 0.000
0.000 0.000 0.000
0.000 0.000 0.500
0.500 0.500 0.500
```

***

Entry 2:
Diffraction record for CsPa2Pt2S6. The XRD peak list is theoretical, not measured: it uses a crystal structure in Alexandria, relaxed with PBE and CuKα.

Principal peaks in the range 2θ from 10° to 90°, by angle:
hkl 0 0 1, 2θ 13.36, intensity 29; hkl 0 1 -1, 2θ 15.21, intensity 88; hkl 0 1 -2, 2θ 23.44, intensity 30; hkl 1 1 -1, 2θ 25.03, intensity 44; hkl 0 1 1, 2θ 26.17, intensity 30; hkl 2 -1 1, 2θ 29.18, intensity 100; hkl 2 -2 0, 2θ 29.94, intensity 23; hkl -2 1 2, 2θ 36.20, intensity 37; hkl 1 -3 1, 2θ 39.28, intensity 33; hkl 0 0 3, 2θ 40.85, intensity 24

```
CsPa2Pt2S6
1.0
7.092 0.000 0.000
-3.542 6.169 0.000
-0.329 -3.845 6.628
Cs Pa Pt S
1 2 2 6
Direct
0.000 0.000 0.000
0.339 0.332 0.674
0.661 0.668 0.326
0.282 0.846 0.321
0.718 0.154 0.679
0.079 0.837 0.547
0.335 0.593 0.051
0.479 0.250 0.354
0.521 0.750 0.646
0.665 0.407 0.949
0.921 0.163 0.453
```

***

Entry 3:
Diffraction record for Pr2Al3Ga4Au. The XRD peak list is theoretical, not measured: it uses a crystal structure in Alexandria, relaxed with PBE and CuKα.

Principal peaks in the range 2θ from 10° to 90°, by angle:
hkl 1 0 1, 2θ 22.04, intensity 28; hkl 1 0 2, 2θ 26.33, intensity 15; hkl 1 0 3, 2θ 32.32, intensity 43; hkl 1 1 2, 2θ 33.55, intensity 100; hkl 2 0 0, 2θ 41.52, intensity 43; hkl 1 0 5, 2θ 47.05, intensity 20; hkl 2 1 3, 2θ 53.57, intensity 20; hkl 2 2 0, 2θ 60.17, intensity 15; hkl 2 1 5, 2θ 64.53, intensity 16; hkl 3 1 2, 2θ 70.68, intensity 23

```
Pr2Al3Ga4Au
1.0
4.350 0.000 0.000
0.000 4.350 0.000
0.000 0.000 10.778
Pr Al Ga Au
2 3 4 1
Direct
0.000 0.500 0.248
0.500 0.000 0.752
0.000 0.500 0.868
0.500 0.000 0.132
0.500 0.500 0.500
0.000 0.000 0.000
0.000 0.500 0.639
0.500 0.000 0.361
0.500 0.500 0.000
0.000 0.000 0.500
```

***

Entry 4:
Diffraction record for SnSb3Se6. The XRD peak list is theoretical, not measured: it uses a crystal structure in Alexandria, relaxed with PBE and CuKα.

Principal peaks in the range 2θ from 10° to 90°, by angle:
hkl 1 0 -2, 2θ 14.19, intensity 92; hkl 2 1 0, 2θ 27.35, intensity 43; hkl 2 0 -4, 2θ 28.65, intensity 100; hkl 2 1 1, 2θ 29.36, intensity 87; hkl 4 0 -1, 2θ 30.86, intensity 76; hkl 4 0 -2, 2θ 31.32, intensity 41; hkl 2 1 2, 2θ 32.89, intensity 45; hkl 2 0 -5, 2θ 35.01, intensity 40; hkl 0 1 4, 2θ 36.34, intensity 72; hkl 0 2 0, 2θ 45.15, intensity 70

```
SnSb3Se6
1.0
11.612 0.000 0.000
0.000 4.017 0.000
-3.525 0.000 12.545
Sn Sb Se
2 6 12
Direct
0.165 0.250 0.467
0.835 0.750 0.533
0.057 0.750 0.817
0.353 0.250 0.945
0.418 0.750 0.358
0.582 0.250 0.642
0.647 0.750 0.055
0.943 0.250 0.183
0.007 0.250 0.629
0.119 0.250 0.969
0.253 0.250 0.282
0.271 0.750 0.782
0.376 0.750 0.548
0.422 0.750 0.103
0.578 0.250 0.897
0.624 0.250 0.452
0.729 0.250 0.218
0.747 0.750 0.718
0.881 0.750 0.031
0.993 0.750 0.371
```